Starting from the GGA+U geometry in Alexandria, the powder diffractogram of NiClF was computed for λ = 1.5418 Å (Cu Kα).

Atomic structure:
```
12
Lattice="7.432 0.000 0.000 0.000 7.432 0.000 0.000 0.000 3.364" Properties=species:S:1:pos:R:3 pbc="T T T"
Ni 1.606 1.681 0.000
Ni 1.681 5.825 1.682
Ni 5.751 1.606 1.682
Ni 5.825 5.751 0.000
Cl 1.642 3.340 1.682
Cl 3.340 5.789 0.000
Cl 4.091 1.642 0.000
Cl 5.789 4.091 1.682
F 0.431 5.850 0.000
F 1.581 0.431 1.682
F 5.850 7.000 1.682
F 7.000 1.581 0.000
```

Largest 10 diffraction maxima, in order of rising 2θ, 2θ from 5° to 70°:
(hkl), two_theta, I_rel
2 0 0, 23.95, 100
1 1 1, 31.58, 47
2 0 1, 36.01, 38
3 0 0, 36.26, 24
2 1 1, 38.06, 15
1 3 1, 47.17, 70
4 0 0, 49.03, 17
3 2 1, 52.03, 16
0 0 2, 54.55, 15
3 3 1, 59.50, 23